Diffraction record for Ac5La6Pr2. The powder diffraction line list is simulated, not measured: it uses a GGA-PBE-relaxed structure and λ = 1.5418 Å (Cu Kα).
Neutral-atom scattering factors, no anomalous dispersion.

Top 6 peaks for 5 to 70 degrees two-theta, by angle:
(1 3 1), 2θ 27.12, I 65
(1 7 0), 2θ 28.86, I 97
(1 4 1), 2θ 29.15, I 70
(4 1 0), 2θ 29.48, I 91
(2 3 1), 2θ 29.98, I 100
(2 4 1), 2θ 31.83, I 99

Unit cell a=12.2306 b=22.3809 c=3.8385 alpha=90.00 beta=90.00 gamma=90.00
Space group Pbam (No. 55)
Inequivalent atoms, fractional coordinates:
Ac (0.0000, 0.0000, 0.0000) (multiplicity 2)
Ac (0.0524, 0.2913, 0.0000) (multiplicity 4)
Ac (0.1932, 0.5777, 0.0000) (multiplicity 4)
La (0.0562, 0.1448, 0.5000) (multiplicity 4)
La (0.0822, 0.4379, 0.5000) (multiplicity 4)
La (0.1891, 0.8735, 0.0000) (multiplicity 4)
Pr (0.2056, 0.7328, 0.5000) (multiplicity 4)

Diffraction record for Ho4Ga3Pt. The powder diffraction line list is simulated, not measured: it uses a GGA-PBE-relaxed structure and λ = 1.5418 Å (Cu Kα).
Neutral-atom scattering factors, no anomalous dispersion.

Top 6 peaks for 5 to 70 degrees two-theta, by angle:
(1 1 1), 2θ 32.07, I 100
(0 0 4), 2θ 32.47, I 25
(1 0 3), 2θ 33.62, I 35
(0 1 4), 2θ 38.72, I 27
(1 1 3), 2θ 39.71, I 51
(0 2 0), 2θ 41.74, I 27

Unit cell a=3.8704 b=4.3284 c=11.0292 alpha=90.00 beta=90.00 gamma=90.00
Space group Pmm2 (No. 25)
Inequivalent atoms, fractional coordinates:
Ho (0.0000, 0.0000, 0.0000) (multiplicity 1)
Ho (0.0000, 0.5000, 0.2717) (multiplicity 1)
Ho (0.5000, 0.0000, 0.4770) (multiplicity 1)
Ho (0.5000, 0.5000, 0.7795) (multiplicity 1)
Ga (0.0000, 0.0000, 0.7064) (multiplicity 1)
Ga (0.0000, 0.5000, 0.5570) (multiplicity 1)
Ga (0.5000, 0.5000, 0.0512) (multiplicity 1)
Pt (0.5000, 0.0000, 0.2108) (multiplicity 1)

Diffraction record for AcLaPrRh2. The powder diffraction line list is simulated, not measured: it uses a GGA-PBE-relaxed structure and λ = 1.5418 Å (Cu Kα).
Neutral-atom scattering factors, no anomalous dispersion.

Top 6 peaks for 5 to 70 degrees two-theta, by angle:
(3 1 -1), 2θ 27.18, I 85
(3 1 0), 2θ 30.59, I 67
(2 0 -4), 2θ 32.80, I 68
(5 1 -3), 2θ 36.33, I 100
(3 1 1), 2θ 36.69, I 82
(0 2 0), 2θ 40.99, I 56

Unit cell a=15.2354 b=4.4039 c=11.5330 alpha=90.00 beta=129.72 gamma=90.00
Space group C2/m (No. 12)
Inequivalent atoms, fractional coordinates:
Ac (0.0455, 0.0000, 0.2227) (multiplicity 4)
La (0.2389, 0.5000, 0.1255) (multiplicity 4)
Pr (0.1288, 0.5000, 0.5417) (multiplicity 4)
Rh (0.1047, 0.5000, 0.7915) (multiplicity 4)
Rh (0.2256, 0.5000, 0.3814) (multiplicity 4)

Diffraction record for SiW4. The powder diffraction line list is simulated, not measured: it uses a GGA-PBE-relaxed structure and λ = 1.5418 Å (Cu Kα).
Neutral-atom scattering factors, no anomalous dispersion.

Top 6 peaks for 5 to 70 degrees two-theta, by angle:
(1 1 0), 2θ 18.12, I 14
(1 0 1), 2θ 30.65, I 8
(2 1 1), 2θ 40.44, I 100
(1 3 0), 2θ 41.24, I 47
(0 0 2), 2θ 57.28, I 9
(4 2 0), 2θ 59.74, I 16

Unit cell a=6.9230 b=6.9230 c=3.2168 alpha=90.00 beta=90.00 gamma=90.00
Space group I4/m (No. 87)
Inequivalent atoms, fractional coordinates:
Si (0.0000, 0.0000, 0.0000) (multiplicity 2)
W (0.1027, 0.2998, 0.5000) (multiplicity 8)

Diffraction record for Pr3NiRu. The powder diffraction line list is simulated, not measured: it uses a GGA-PBE-relaxed structure and λ = 1.5418 Å (Cu Kα).
Neutral-atom scattering factors, no anomalous dispersion.

Top 6 peaks for 5 to 70 degrees two-theta, by angle:
(0 3 1), 2θ 30.55, I 35
(1 2 1), 2θ 31.78, I 100
(1 1 2), 2θ 36.54, I 65
(2 0 0), 2θ 44.85, I 20
(0 3 3), 2θ 50.31, I 23
(1 5 2), 2θ 59.49, I 27

Unit cell a=4.0420 b=9.8181 c=6.5368 alpha=90.00 beta=90.00 gamma=90.00
Space group Pmmn (No. 59, origin choice 2)
Inequivalent atoms, fractional coordinates:
Pr (0.2500, 0.0580, 0.2400) (multiplicity 4)
Pr (0.2500, 0.2500, 0.7458) (multiplicity 2)
Ni (0.2500, 0.7500, 0.5589) (multiplicity 2)
Ru (0.2500, 0.7500, 0.9391) (multiplicity 2)

Diffraction record for K3HoCl6. The powder diffraction line list is simulated, not measured: it uses a GGA-PBE-relaxed structure and λ = 1.5418 Å (Cu Kα).
Neutral-atom scattering factors, no anomalous dispersion.

Top 6 peaks for 5 to 70 degrees two-theta, by angle:
(1 1 -1), 2θ 14.00, I 100
(0 0 2), 2θ 14.68, I 38
(1 1 1), 2θ 16.36, I 67
(3 1 -1), 2θ 23.13, I 50
(1 1 -3), 2θ 23.68, I 54
(2 2 2), 2θ 33.07, I 51

Unit cell a=13.2282 b=7.8544 c=12.8378 alpha=90.00 beta=109.92 gamma=90.00
Space group P2_1/c (No. 14)
Inequivalent atoms, fractional coordinates:
K (0.1125, 0.0428, 0.3722) (multiplicity 4)
K (0.3087, 0.0513, 0.7684) (multiplicity 4)
K (0.3273, 0.5790, 0.6119) (multiplicity 4)
Ho (0.0000, 0.0000, 0.0000) (multiplicity 2)
Ho (0.5000, 0.0000, 0.5000) (multiplicity 2)
Cl (0.0941, 0.0384, 0.8516) (multiplicity 4)
Cl (0.1074, 0.7100, 0.0682) (multiplicity 4)
Cl (0.1554, 0.1662, 0.1473) (multiplicity 4)
Cl (0.3367, 0.7021, 0.8957) (multiplicity 4)
Cl (0.3570, 0.2360, 0.4949) (multiplicity 4)
Cl (0.4944, 0.6201, 0.1916) (multiplicity 4)